# 1
Starting from the GGA-PBE geometry in Alexandria, the powder XRD pattern of TbCe2HoS5 was calculated for Cu Kα.

Largest 6 diffraction maxima, by intensity, 2θ = 10–80°:
25.07 deg, intensity 100
25.73 deg, intensity 97
36.71 deg, intensity 56
44.97 deg, intensity 44
51.45 deg, intensity 25
43.75 deg, intensity 25

a b c (Å): 4.8960 4.8960 10.3258
angles (deg): 90.00 90.00 90.00
Positions (direct):
1 Tb 0.0000 0.0000 0.0000
2 Ce 0.5000 0.5000 0.3003
3 Ce 0.5000 0.5000 0.6997
4 Ho 0.0000 0.0000 0.5000
5 S 0.0000 0.0000 0.2453
6 S 0.0000 0.0000 0.7547
7 S 0.0000 0.5000 0.5000
8 S 0.5000 0.0000 0.5000
9 S 0.5000 0.5000 0.0000


# 2
Starting from the GGA-PBE geometry in Alexandria, the powder XRD pattern of Tb5Nd2SmSc was calculated for Cu Kα.

Largest 6 diffraction maxima, by intensity, 2θ = 10–80°:
32.43 deg, intensity 100
31.92 deg, intensity 49
30.50 deg, intensity 39
26.89 deg, intensity 25
57.20 deg, intensity 20
28.18 deg, intensity 17

a b c (Å): 10.3521 10.3521 10.4709
angles (deg): 90.00 90.00 148.57
Positions (direct):
1 Tb 0.0172 0.9828 0.5000
2 Tb 0.1259 0.8741 0.7780
3 Tb 0.2031 0.7969 0.4622
4 Tb 0.2238 0.7762 0.0808
5 Tb 0.4833 0.5167 0.7766
6 Tb 0.5167 0.4833 0.2766
7 Tb 0.7762 0.2238 0.5808
8 Tb 0.7969 0.2031 0.9622
9 Tb 0.8741 0.1259 0.2780
10 Tb 0.9828 0.0172 0.0000
11 Nd 0.3851 0.6149 0.4936
12 Nd 0.3867 0.6133 0.0735
13 Nd 0.6133 0.3867 0.5735
14 Nd 0.6149 0.3851 0.9936
15 Sm 0.0895 0.9105 0.2180
16 Sm 0.9105 0.0895 0.7180
17 Sc 0.3040 0.6960 0.7734
18 Sc 0.6960 0.3040 0.2734


# 3
Starting from the GGA-PBE geometry in Alexandria, the powder XRD pattern of La3Tb6Sm was calculated for Cu Kα.

Largest 6 diffraction maxima, by intensity, 2θ = 10–80°:
31.22 deg, intensity 100
28.27 deg, intensity 70
33.66 deg, intensity 58
32.32 deg, intensity 29
27.89 deg, intensity 23
29.41 deg, intensity 18

a b c (Å): 11.0974 11.0974 6.4032
angles (deg): 90.00 90.00 120.19
Positions (direct):
1 La 0.1123 0.8877 0.5000
2 La 0.2108 0.4398 0.8923
3 La 0.4398 0.2108 0.3923
4 La 0.5602 0.7892 0.8923
5 La 0.7892 0.5602 0.3923
6 La 0.8877 0.1123 0.0000
7 Tb 0.0296 0.4495 0.2987
8 Tb 0.1238 0.2145 0.4765
9 Tb 0.2145 0.1238 0.9765
10 Tb 0.2244 0.7756 0.0742
11 Tb 0.4495 0.0296 0.7987
12 Tb 0.4635 0.5365 0.2968
13 Tb 0.5365 0.4635 0.7968
14 Tb 0.5505 0.9704 0.2987
15 Tb 0.7756 0.2244 0.5742
16 Tb 0.7855 0.8762 0.4765
17 Tb 0.8762 0.7855 0.9765
18 Tb 0.9704 0.5505 0.7987
19 Sm 0.3076 0.6924 0.5492
20 Sm 0.6924 0.3076 0.0492


# 4
Starting from the GGA-PBE geometry in Alexandria, the powder XRD pattern of RbNaTmF6 was calculated for Cu Kα.

Largest 6 diffraction maxima, by intensity, 2θ = 10–80°:
26.13 deg, intensity 100
14.58 deg, intensity 50
25.84 deg, intensity 48
45.61 deg, intensity 47
14.96 deg, intensity 46
29.40 deg, intensity 31

a b c (Å): 8.0364 8.0364 8.0364
angles (deg): 127.76 118.31 85.03
Positions (direct):
1 Rb 0.3672 0.1172 0.2500
2 Rb 0.6328 0.8828 0.7500
3 Na 0.0000 0.0000 0.5000
4 Na 0.0000 0.5000 0.0000
5 Tm 0.0000 0.5000 0.5000
6 Tm 0.5000 0.5000 0.0000
7 F 0.0878 0.4112 0.2500
8 F 0.0878 0.8378 0.6767
9 F 0.1288 0.8788 0.2500
10 F 0.3005 0.5505 0.7500
11 F 0.3388 0.1622 0.7500
12 F 0.3388 0.5888 0.1767
13 F 0.6612 0.4112 0.8233
14 F 0.6612 0.8378 0.2500
15 F 0.6995 0.4495 0.2500
16 F 0.8712 0.1212 0.7500
17 F 0.9122 0.1622 0.3233
18 F 0.9122 0.5888 0.7500